Starting from DFT lattice parameters and positions (GGA-PBE), the XRD peak list of PuPdPtO6 was calculated for λ = 1.5418 Å (Cu Kα).
Kinematic intensities with the Lorentz-polarization factor, no thermal factor.

Structure:
```
data_PuPdPtO6
_space_group_name_H-M_alt 'P -3 1 c'
_space_group_IT_number 163
_space_group_name_Hall '-P 3 2c'
_cell_length_a 5.2974
_cell_length_b 5.2974
_cell_length_c 9.2788
_cell_angle_alpha 90.00
_cell_angle_beta 90.00
_cell_angle_gamma 120.00
loop_
_atom_site_label
_atom_site_type_symbol
_atom_site_fract_x
_atom_site_fract_y
_atom_site_fract_z
Pu1 Pu 0.3333 0.6667 0.2500
Pd1 Pd 0.0000 0.0000 0.0000
Pt1 Pt 0.3333 0.6667 0.7500
O1 O 0.0088 0.3462 0.6276
```

Main lines, sorted by position (5 to 70 degrees two-theta):
index	Position (°2θ)	I_rel
0 0 2	19.1	378
1 0 0	19.3	120
1 0 2	27.3	1000
1 1 0	33.8	651
0 0 4	38.8	123
1 1 2	39.2	402
2 0 2	44.0	278
1 1 4	52.4	543
2 1 2	56.7	266
3 0 0	60.5	199